Record 1
This entry pairs a crystal structure of KTl2CrF6 with its simulated PXRD pattern. Radiation: a wavelength of 1.5418 Å. Structure: a GGA+U-relaxed structure.
Neutral-atom scattering factors, no anomalous dispersion.

Cell and atoms:
Cell: 8.966 8.966 8.966 Å, 90.00 90.00 90.00°
Space group Fm-3m (No. 225)
Symmetry-distinct sites (fractional):
K 0.000 0.000 0.000 [4 per cell]
Tl 0.250 0.250 0.250 [8 per cell]
Cr 0.000 0.000 0.500 [4 per cell]
F 0.000 0.000 0.282 [24 per cell]

Largest 6 diffraction maxima, by angle, 10 to 90 degrees two-theta:
2θ/deg  Rel. int.  hkl
19.8  349  2 0 0
28.2  1000  2 2 0
34.7  314  2 2 2
40.2  325  4 0 0
49.8  401  4 2 2
80.1  221  6 4 2

---

Record 2
This entry pairs a crystal structure of HoMnO3 with its simulated PXRD pattern. Radiation: a wavelength of 1.5418 Å. Structure: a GGA+U-relaxed structure.
Neutral-atom scattering factors, no anomalous dispersion.

Cell and atoms:
Cell: 6.1982 6.1982 11.5395 Å, 90.00 90.00 120.00°
Space group P6_3cm (No. 185)
Symmetry-distinct sites (fractional):
Ho 0.0000 0.0000 0.0000 [2 per cell]
Ho 0.3333 0.6667 0.4563 [4 per cell]
Mn 0.0000 0.3335 0.2252 [6 per cell]
O 0.0000 0.0000 0.2004 [2 per cell]
O 0.0000 0.3070 0.3902 [6 per cell]
O 0.0000 0.3592 0.0604 [6 per cell]
O 0.3333 0.6667 0.2462 [4 per cell]

Largest 6 diffraction maxima, by angle, 10 to 90 degrees two-theta:
2θ/deg  Rel. int.  hkl
15.4  390  0 0 2
28.8  488  1 1 0
31.0  280  0 0 4
32.8  1000  1 1 2
42.8  339  1 1 4
51.0  369  3 0 0

---

Record 3
This entry pairs a crystal structure of Li2VCrP4O14 with its simulated PXRD pattern. Radiation: a wavelength of 1.5418 Å. Structure: a GGA+U-relaxed structure.
Neutral-atom scattering factors, no anomalous dispersion.

Cell and atoms:
Cell: 7.152 9.557 9.559 Å, 118.76 100.73 100.70°
Space group P1 (No. 1)
Symmetry-distinct sites (fractional):
Li 0.000 0.000 0.000 [1 per cell]
Li 0.000 0.500 0.500 [1 per cell]
Li 0.647 0.249 0.750 [1 per cell]
Li 0.647 0.751 0.251 [1 per cell]
V 0.053 0.325 0.688 [1 per cell]
V 0.594 0.062 0.925 [1 per cell]
Cr 0.051 0.826 0.188 [1 per cell]
Cr 0.596 0.562 0.425 [1 per cell]
P 0.237 0.023 0.601 [1 per cell]
P 0.238 0.525 0.105 [1 per cell]
P 0.409 0.147 0.227 [1 per cell]
P 0.409 0.647 0.725 [1 per cell]
P 0.801 0.598 0.780 [1 per cell]
P 0.802 0.097 0.280 [1 per cell]
P 0.845 0.969 0.652 [1 per cell]
P 0.847 0.471 0.153 [1 per cell]
O 0.077 0.474 0.186 [1 per cell]
O 0.077 0.974 0.685 [1 per cell]
O 0.176 0.881 0.419 [1 per cell]
O 0.177 0.381 0.922 [1 per cell]
O 0.208 0.041 0.211 [1 per cell]
O 0.208 0.545 0.710 [1 per cell]
O 0.241 0.193 0.622 [1 per cell]
O 0.241 0.694 0.123 [1 per cell]
O 0.404 0.128 0.057 [1 per cell]
O 0.408 0.628 0.556 [1 per cell]
O 0.438 0.040 0.706 [1 per cell]
O 0.440 0.539 0.209 [1 per cell]
O 0.469 0.330 0.369 [1 per cell]
O 0.472 0.830 0.869 [1 per cell]
O 0.570 0.565 0.776 [1 per cell]
O 0.571 0.065 0.276 [1 per cell]
O 0.717 0.803 0.488 [1 per cell]
O 0.718 0.305 0.988 [1 per cell]
O 0.805 0.486 0.311 [1 per cell]
O 0.806 0.985 0.811 [1 per cell]
O 0.814 0.611 0.628 [1 per cell]
O 0.819 0.112 0.131 [1 per cell]
O 0.829 0.119 0.638 [1 per cell]
O 0.833 0.623 0.139 [1 per cell]
O 0.842 0.440 0.764 [1 per cell]
O 0.842 0.940 0.265 [1 per cell]
O 0.929 0.262 0.447 [1 per cell]
O 0.930 0.762 0.945 [1 per cell]

Largest 6 diffraction maxima, by angle, 10 to 90 degrees two-theta:
2θ/deg  Rel. int.  hkl
17.1  1000  1 1 -1
22.1  213  1 0 -2
22.4  474  0 2 0
26.8  241  -2 1 1
29.3  581  0 3 -1
29.7  278  1 2 0

---

Record 4
This entry pairs a crystal structure of Sr3MgFe2O6 with its simulated PXRD pattern. Radiation: a wavelength of 1.5418 Å. Structure: a GGA+U-relaxed structure.
Neutral-atom scattering factors, no anomalous dispersion.

Cell and atoms:
Cell: 3.957 3.957 22.671 Å, 90.00 90.00 90.00°
Space group I-4m2 (No. 119)
Symmetry-distinct sites (fractional):
Sr 0.000 0.000 0.000 [2 per cell]
Sr 0.000 0.000 0.153 [4 per cell]
Mg 0.000 0.500 0.750 [2 per cell]
Fe 0.000 0.000 0.421 [4 per cell]
O 0.000 0.000 0.287 [4 per cell]
O 0.000 0.500 0.073 [4 per cell]
O 0.000 0.500 0.586 [4 per cell]

Largest 6 diffraction maxima, by angle, 10 to 90 degrees two-theta:
2θ/deg  Rel. int.  hkl
30.0  294  1 0 5
32.0  446  1 1 0
35.8  1000  1 0 7
40.1  198  1 1 6
45.9  382  2 0 0
59.5  408  2 1 7